This entry pairs a crystal structure of Ba5Li2Ag2 with its simulated powder diffraction line list. Radiation: λ = 1.5418 Å (Cu Kα). Structure: the PBE geometry in Alexandria.

Structure:
```
data_Ba5Li2Ag2
_chemical_formula_sum 'Ba20 Li8 Ag8'
_space_group_name_H-M_alt 'C 1 c 1'
_space_group_IT_number 9
_space_group_name_Hall 'C -2yc'
_cell_length_a 20.7017
_cell_length_b 10.6206
_cell_length_c 7.4666
_cell_angle_alpha 90.00
_cell_angle_beta 111.09
_cell_angle_gamma 90.00
loop_
_atom_site_label
_atom_site_fract_x
_atom_site_fract_y
_atom_site_fract_z
_atom_site_occupancy
Ba1 0.0000 0.0447 0.0000 1
Ba2 0.0722 0.3849 0.2531 1
Ba3 0.1800 0.1952 0.8519 1
Ba4 0.2876 0.3852 0.4688 1
Ba5 0.3600 0.0447 0.3608 1
Li1 0.3641 0.3046 0.0293 1
Li2 0.4959 0.1954 0.1600 1
Ag1 0.1798 0.1253 0.3543 1
Ag2 0.4299 0.2502 0.7781 1
```

Top 10 peaks for 2θ from 5° to 70°, by intensity:
- 2θ 24.52, rel. 100, hkl 5 1 0
- 2θ 28.90, rel. 84, hkl 5 1 -2
- 2θ 25.58, rel. 71, hkl 0 0 2
- 2θ 27.89, rel. 64, hkl 1 3 -1
- 2θ 14.50, rel. 56, hkl 1 1 -1
- 2θ 31.03, rel. 51, hkl 4 2 1
- 2θ 28.78, rel. 48, hkl 3 3 0
- 2θ 29.41, rel. 37, hkl 1 3 1
- 2θ 42.25, rel. 32, hkl 3 3 2
- 2θ 23.49, rel. 30, hkl 5 1 -1


This entry pairs a crystal structure of BaNaLiAg with its simulated powder diffraction line list. Radiation: λ = 1.5418 Å (Cu Kα). Structure: the PBE geometry in Alexandria.

Structure:
```
data_BaNaLiAg
_chemical_formula_sum 'Ba3 Na3 Li3 Ag3'
_space_group_name_H-M_alt 'R 3 m'
_space_group_IT_number 160
_space_group_name_Hall 'R 3 -2"'
_cell_length_a 4.9530
_cell_length_b 4.9530
_cell_length_c 18.4231
_cell_angle_alpha 90.00
_cell_angle_beta 90.00
_cell_angle_gamma 120.00
loop_
_atom_site_label
_atom_site_fract_x
_atom_site_fract_y
_atom_site_fract_z
_atom_site_occupancy
Ba1 0.0000 0.0000 0.0000 1
Na1 0.0000 0.0000 0.8014 1
Li1 0.0000 0.0000 0.5306 1
Ag1 0.0000 0.0000 0.2105 1
```

Top 10 peaks for 2θ from 5° to 70°, by intensity:
- 2θ 21.27, rel. 100, hkl 1 0 1
- 2θ 32.02, rel. 74, hkl 0 1 5
- 2θ 28.43, rel. 67, hkl 1 0 4
- 2θ 36.27, rel. 57, hkl 1 1 0
- 2θ 49.15, rel. 21, hkl 2 0 5
- 2θ 62.60, rel. 20, hkl 1 2 5
- 2θ 58.50, rel. 20, hkl 1 1 9
- 2θ 47.15, rel. 19, hkl 1 1 6
- 2θ 46.72, rel. 17, hkl 0 2 4
- 2θ 42.43, rel. 16, hkl 0 2 1


This entry pairs a crystal structure of BaLiAgPb with its simulated powder diffraction line list. Radiation: λ = 1.5418 Å (Cu Kα). Structure: the PBE geometry in Alexandria.

Structure:
```
data_BaLiAgPb
_chemical_formula_sum 'Ba2 Li2 Ag2 Pb2'
_space_group_name_H-M_alt 'C 1 m 1'
_space_group_IT_number 8
_space_group_name_Hall 'C -2y'
_cell_length_a 8.5644
_cell_length_b 4.9451
_cell_length_c 6.2844
_cell_angle_alpha 90.00
_cell_angle_beta 116.89
_cell_angle_gamma 90.00
loop_
_atom_site_label
_atom_site_fract_x
_atom_site_fract_y
_atom_site_fract_z
_atom_site_occupancy
Ba1 0.0000 0.0000 0.0000 1
Li1 0.3083 0.5000 0.4253 1
Ag1 0.2012 0.0000 0.6039 1
Pb1 0.4932 0.0000 0.4796 1
```

Top 10 peaks for 2θ from 5° to 70°, by intensity:
- 2θ 29.78, rel. 100, hkl 1 1 1
- 2θ 36.34, rel. 78, hkl 0 2 0
- 2θ 23.31, rel. 68, hkl 2 0 0
- 2θ 49.11, rel. 29, hkl 3 1 1
- 2θ 47.66, rel. 27, hkl 4 0 0
- 2θ 15.81, rel. 27, hkl 0 0 1
- 2θ 61.38, rel. 26, hkl 4 2 0
- 2θ 31.93, rel. 24, hkl 0 0 2
- 2θ 21.41, rel. 20, hkl 1 1 0
- 2θ 59.02, rel. 18, hkl 1 1 3